Diffraction record for MoSO. The powder diffractogram is simulated, not measured: it uses a PBE+U-relaxed structure and λ = 1.5418 Å (Cu Kα).
Intensities are scaled so that the largest is 100.

Structural model:
Cell: 6.336 6.336 6.572 Å, 90.00 90.00 90.00°
Space group P4bm (No. 100)
Asymmetric unit:
Mo: 0.150 0.350 0.000 [4 per cell]
S: 0.157 0.657 0.255 [4 per cell]
O: 0.147 0.647 0.841 [4 per cell]

Top 10 peaks for 10 to 90 degrees two-theta, in order of rising 2θ:
| index | Position (°2θ) | d/Å | I_rel |
| --- | --- | --- | --- |
| 0 0 1 | 13.5 | 6.572 | 100 |
| 1 1 0 | 19.8 | 4.480 | 19 |
| 1 1 1 | 24.0 | 3.702 | 12 |
| 2 0 0 | 28.2 | 3.168 | 7 |
| 2 1 1 | 34.5 | 2.602 | 34 |
| 2 1 2 | 42.1 | 2.146 | 43 |
| 3 1 0 | 45.3 | 2.004 | 10 |
| 3 1 1 | 47.4 | 1.917 | 9 |
| 2 1 3 | 52.8 | 1.733 | 15 |
| 5 2 2 | 88.2 | 1.108 | 7 |



Diffraction record for Li3FeSiO5. The powder diffractogram is simulated, not measured: it uses a PBE+U-relaxed structure and λ = 1.5418 Å (Cu Kα).
Intensities are scaled so that the largest is 100.

Structural model:
Cell: 5.473 15.804 4.946 Å, 90.00 90.00 90.00°
Space group Pna2_1 (No. 33)
Asymmetric unit:
Li: 0.164 0.092 0.000 [4 per cell]
Li: 0.165 0.506 0.005 [4 per cell]
Li: 0.180 0.695 0.001 [4 per cell]
Fe: 0.169 0.303 0.002 [4 per cell]
Si: 0.164 0.903 0.007 [4 per cell]
O: 0.117 0.101 0.604 [4 per cell]
O: 0.166 0.701 0.599 [4 per cell]
O: 0.180 0.898 0.666 [4 per cell]
O: 0.183 0.486 0.608 [4 per cell]
O: 0.188 0.314 0.612 [4 per cell]

Top 10 peaks for 10 to 90 degrees two-theta, in order of rising 2θ:
| index | Position (°2θ) | d/Å | I_rel |
| --- | --- | --- | --- |
| 0 2 0 | 11.2 | 7.902 | 52 |
| 0 1 1 | 18.8 | 4.720 | 36 |
| 1 2 0 | 19.7 | 4.499 | 99 |
| 0 3 1 | 24.7 | 3.606 | 73 |
| 2 0 0 | 32.7 | 2.737 | 100 |
| 0 0 2 | 36.3 | 2.473 | 56 |
| 1 5 1 | 37.6 | 2.395 | 55 |
| 3 5 0 | 58.4 | 1.580 | 53 |
| 1 5 3 | 66.2 | 1.412 | 41 |
| 3 5 2 | 70.8 | 1.332 | 36 |



Diffraction record for Cs4Ni3F10. The powder diffractogram is simulated, not measured: it uses a PBE+U-relaxed structure and λ = 1.5418 Å (Cu Kα).
Intensities are scaled so that the largest is 100.

Structural model:
Cell: 6.236 14.620 13.931 Å, 90.00 90.00 90.00°
Space group Cmce (No. 64)
Asymmetric unit:
Cs: 0.000 0.047 0.139 [8 per cell]
Cs: 0.000 0.246 0.387 [8 per cell]
Ni: 0.000 0.000 0.500 [4 per cell]
Ni: 0.000 0.117 0.654 [8 per cell]
F: 0.000 0.027 0.357 [8 per cell]
F: 0.000 0.249 0.151 [8 per cell]
F: 0.213 0.099 0.539 [16 per cell]
F: 0.250 0.111 0.750 [8 per cell]

Top 10 peaks for 10 to 90 degrees two-theta, in order of rising 2θ:
| index | Position (°2θ) | d/Å | I_rel |
| --- | --- | --- | --- |
| 0 0 4 | 25.6 | 3.483 | 28 |
| 1 3 2 | 26.5 | 3.363 | 100 |
| 2 0 0 | 28.6 | 3.118 | 38 |
| 1 3 3 | 30.2 | 2.959 | 19 |
| 0 6 1 | 37.5 | 2.400 | 12 |
| 2 4 0 | 37.9 | 2.372 | 16 |
| 2 0 4 | 38.8 | 2.323 | 33 |
| 1 3 6 | 45.7 | 1.987 | 14 |
| 2 6 1 | 47.8 | 1.903 | 14 |
| 3 3 2 | 49.4 | 1.844 | 16 |



Diffraction record for Mg14SiNiO16. The powder diffractogram is simulated, not measured: it uses a PBE+U-relaxed structure and λ = 1.5418 Å (Cu Kα).
Intensities are scaled so that the largest is 100.

Structural model:
Cell: 8.568 8.568 4.257 Å, 90.00 90.00 90.00°
Space group P4/mmm (No. 123)
Asymmetric unit:
Mg: 0.000 0.247 0.000 [4 per cell]
Mg: 0.000 0.500 0.500 [2 per cell]
Mg: 0.245 0.245 0.500 [4 per cell]
Mg: 0.246 0.500 0.000 [4 per cell]
Si: 0.500 0.500 0.500 [1 per cell]
Ni: 0.000 0.000 0.500 [1 per cell]
O: 0.000 0.000 0.000 [1 per cell]
O: 0.000 0.262 0.500 [4 per cell]
O: 0.000 0.500 0.000 [2 per cell]
O: 0.251 0.251 0.000 [4 per cell]
O: 0.255 0.500 0.500 [4 per cell]
O: 0.500 0.500 0.000 [1 per cell]

Top 10 peaks for 10 to 90 degrees two-theta, in order of rising 2θ:
| index | Position (°2θ) | d/Å | I_rel |
| --- | --- | --- | --- |
| 1 0 0 | 10.3 | 8.568 | 8 |
| 1 1 0 | 14.6 | 6.058 | 5 |
| 2 2 1 | 36.4 | 2.468 | 22 |
| 4 0 0 | 42.2 | 2.142 | 100 |
| 0 0 2 | 42.5 | 2.128 | 49 |
| 4 4 0 | 61.2 | 1.515 | 28 |
| 4 0 2 | 61.4 | 1.510 | 56 |
| 6 2 1 | 73.3 | 1.291 | 9 |
| 2 2 3 | 73.7 | 1.285 | 5 |
| 4 4 2 | 77.3 | 1.234 | 25 |



Diffraction record for Li3Fe4WO8. The powder diffractogram is simulated, not measured: it uses a PBE+U-relaxed structure and λ = 1.5418 Å (Cu Kα).
Intensities are scaled so that the largest is 100.

Structural model:
Cell: 10.464 6.163 6.169 Å, 90.00 126.08 90.00°
Space group C2/m (No. 12)
Asymmetric unit:
Li: 0.000 0.000 0.000 [2 per cell]
Li: 0.250 0.250 0.000 [4 per cell]
Fe: 0.000 0.000 0.500 [2 per cell]
Fe: 0.000 0.500 0.000 [2 per cell]
Fe: 0.250 0.250 0.500 [4 per cell]
W: 0.000 0.500 0.500 [2 per cell]
O: 0.007 0.268 0.759 [8 per cell]
O: 0.243 0.500 0.731 [4 per cell]
O: 0.246 0.500 0.250 [4 per cell]

Top 10 peaks for 10 to 90 degrees two-theta, in order of rising 2θ:
| index | Position (°2θ) | d/Å | I_rel |
| --- | --- | --- | --- |
| 0 0 1 | 17.8 | 4.983 | 100 |
| 2 0 0 | 21.0 | 4.228 | 13 |
| 2 2 -1 | 34.2 | 2.621 | 37 |
| 4 0 -1 | 35.0 | 2.563 | 18 |
| 2 2 0 | 36.1 | 2.491 | 41 |
| 2 2 -2 | 41.4 | 2.180 | 47 |
| 4 0 0 | 42.8 | 2.114 | 21 |
| 2 2 1 | 46.0 | 1.971 | 16 |
| 4 0 -4 | 60.0 | 1.541 | 14 |
| 6 2 -2 | 61.1 | 1.518 | 26 |



Diffraction record for Li17Co4O16. The powder diffractogram is simulated, not measured: it uses a PBE+U-relaxed structure and λ = 1.5418 Å (Cu Kα).
Intensities are scaled so that the largest is 100.

Structural model:
Cell: 7.442 6.661 7.893 Å, 90.00 91.23 90.00°
Space group Pm (No. 6)
Asymmetric unit:
Li: 0.000 0.000 0.000 [1 per cell]
Li: 0.010 0.500 0.505 [1 per cell]
Li: 0.225 0.256 0.115 [2 per cell]
Li: 0.253 0.235 0.784 [2 per cell]
Li: 0.260 0.248 0.469 [2 per cell]
Li: 0.511 0.500 0.731 [1 per cell]
Li: 0.512 0.000 0.916 [1 per cell]
Li: 0.524 0.500 0.387 [1 per cell]
Li: 0.742 0.245 0.293 [2 per cell]
Li: 0.765 0.275 0.944 [2 per cell]
Li: 0.795 0.241 0.628 [2 per cell]
Co: 0.029 0.500 0.833 [1 per cell]
Co: 0.485 0.500 0.070 [1 per cell]
Co: 0.532 0.000 0.580 [1 per cell]
Co: 0.995 0.000 0.331 [1 per cell]
O: 0.048 0.257 0.931 [2 per cell]
O: 0.208 0.000 0.232 [1 per cell]
O: 0.223 0.500 0.658 [1 per cell]
O: 0.306 0.000 0.653 [1 per cell]
O: 0.315 0.500 0.233 [1 per cell]
O: 0.463 0.279 0.942 [2 per cell]
O: 0.559 0.239 0.477 [2 per cell]
O: 0.701 0.500 0.175 [1 per cell]
O: 0.703 0.000 0.752 [1 per cell]
O: 0.785 0.500 0.749 [1 per cell]
O: 0.811 0.000 0.170 [1 per cell]
O: 0.970 0.231 0.445 [2 per cell]

Top 10 peaks for 10 to 90 degrees two-theta, in order of rising 2θ:
| index | Position (°2θ) | d/Å | I_rel |
| --- | --- | --- | --- |
| 0 1 1 | 17.4 | 5.090 | 100 |
| 1 1 -1 | 21.0 | 4.228 | 96 |
| 1 1 1 | 21.3 | 4.174 | 90 |
| 2 0 0 | 23.9 | 3.720 | 33 |
| 1 0 -2 | 25.3 | 3.517 | 39 |
| 1 0 2 | 25.8 | 3.455 | 37 |
| 0 2 0 | 26.8 | 3.331 | 28 |
| 2 1 -1 | 29.5 | 3.023 | 23 |
| 2 1 1 | 29.9 | 2.984 | 23 |
| 0 2 2 | 35.3 | 2.545 | 26 |



Diffraction record for LiMnVP3O12. The powder diffractogram is simulated, not measured: it uses a PBE+U-relaxed structure and λ = 1.5418 Å (Cu Kα).
Intensities are scaled so that the largest is 100.

Structural model:
Cell: 8.299 8.312 8.882 Å, 62.90 89.46 60.78°
Space group P1 (No. 1)
Asymmetric unit:
Li: 0.000 0.000 0.000 [1 per cell]
Li: 0.034 0.562 0.263 [1 per cell]
Mn: 0.583 0.225 0.703 [1 per cell]
Mn: 0.875 0.657 0.569 [1 per cell]
V: 0.090 0.232 0.186 [1 per cell]
V: 0.401 0.623 0.087 [1 per cell]
P: 0.190 0.729 0.386 [1 per cell]
P: 0.278 0.143 0.888 [1 per cell]
P: 0.477 0.151 0.388 [1 per cell]
P: 0.704 0.436 0.880 [1 per cell]
P: 0.766 0.435 0.386 [1 per cell]
P: 0.998 0.716 0.892 [1 per cell]
O: 0.117 0.325 0.723 [1 per cell]
O: 0.187 0.944 0.315 [1 per cell]
O: 0.199 0.689 0.227 [1 per cell]
O: 0.215 0.643 0.952 [1 per cell]
O: 0.246 0.200 0.040 [1 per cell]
O: 0.257 0.236 0.328 [1 per cell]
O: 0.267 0.936 0.959 [1 per cell]
O: 0.352 0.552 0.548 [1 per cell]
O: 0.481 0.082 0.878 [1 per cell]
O: 0.500 0.335 0.241 [1 per cell]
O: 0.504 0.142 0.562 [1 per cell]
O: 0.567 0.610 0.241 [1 per cell]
O: 0.568 0.580 0.953 [1 per cell]
O: 0.607 0.945 0.392 [1 per cell]
O: 0.626 0.311 0.864 [1 per cell]
O: 0.716 0.588 0.707 [1 per cell]
O: 0.747 0.292 0.557 [1 per cell]
O: 0.854 0.553 0.402 [1 per cell]
O: 0.874 0.928 0.887 [1 per cell]
O: 0.903 0.261 0.022 [1 per cell]
O: 0.905 0.293 0.313 [1 per cell]
O: 0.967 0.726 0.721 [1 per cell]
O: 0.970 0.546 0.046 [1 per cell]
O: 0.986 0.785 0.401 [1 per cell]

Top 10 peaks for 10 to 90 degrees two-theta, in order of rising 2θ:
| index | Position (°2θ) | d/Å | I_rel |
| --- | --- | --- | --- |
| 0 1 0 | 14.3 | 6.211 | 49 |
| 1 1 1 | 14.6 | 6.067 | 41 |
| 1 0 -1 | 14.7 | 6.024 | 47 |
| 1 0 1 | 19.5 | 4.552 | 45 |
| 1 1 -1 | 19.9 | 4.462 | 44 |
| 0 1 2 | 20.1 | 4.413 | 39 |
| 1 -1 0 | 23.8 | 3.735 | 42 |
| 1 2 0 | 24.2 | 3.673 | 73 |
| 1 2 2 | 24.6 | 3.617 | 100 |
| 2 1 -2 | 32.2 | 2.778 | 41 |